Entry 1:
Starting from a DFT-relaxed cell (PBE, Alexandria), the powder diffractogram of CsNpBr2Cl8 was simulated for Cu Ka.
Kinematic intensities with the Lorentz-polarization factor, no thermal factor.

Lattice parameters (Å, degrees): 8.0444 8.0444 9.0169 90.00 90.00 120.00
Space group P-3m1 (No. 164)
Inequivalent atoms, fractional coordinates:
Cs1 0.0000 0.0000 0.0000 (multiplicity 1)
Np1 0.0000 0.0000 0.5000 (multiplicity 1)
Br1 0.3333 0.6667 0.2244 (multiplicity 2)
Cl1 0.1470 0.2940 0.6644 (multiplicity 6)
Cl2 0.3333 0.6667 0.9847 (multiplicity 2)

Top 8 peaks for 10 to 90 degrees two-theta, by intensity:
- 12.71°, rel. 100, hkl 1 0 0
- 22.10°, rel. 86, hkl 1 1 0
- 23.50°, rel. 73, hkl 0 1 2
- 39.63°, rel. 56, hkl 1 2 2
- 16.08°, rel. 55, hkl 1 0 1
- 32.48°, rel. 55, hkl 0 2 2
- 27.45°, rel. 33, hkl 0 2 1
- 46.16°, rel. 30, hkl 1 1 4

=====

Entry 2:
Starting from a DFT-relaxed cell (PBE, Alexandria), the powder diffractogram of Sr3Sn2S7 was simulated for Cu Ka.
Kinematic intensities with the Lorentz-polarization factor, no thermal factor.

Lattice parameters (Å, degrees): 11.573 12.936 4.035 90.00 90.00 90.00
Space group Pbam (No. 55)
Inequivalent atoms, fractional coordinates:
Sr1 0.000 0.000 0.000 (multiplicity 2)
Sr2 0.115 0.348 0.000 (multiplicity 4)
Sn1 0.217 0.604 0.500 (multiplicity 4)
S1 0.000 0.500 0.500 (multiplicity 2)
S2 0.083 0.175 0.500 (multiplicity 4)
S3 0.149 0.702 0.000 (multiplicity 4)
S4 0.204 0.931 0.500 (multiplicity 4)

Top 8 peaks for 10 to 90 degrees two-theta, by intensity:
- 27.17°, rel. 100, hkl 1 2 1
- 26.93°, rel. 89, hkl 2 0 1
- 31.33°, rel. 86, hkl 1 3 1
- 44.91°, rel. 64, hkl 0 0 2
- 31.69°, rel. 62, hkl 2 4 0
- 47.84°, rel. 50, hkl 0 6 1
- 45.73°, rel. 36, hkl 5 1 1
- 22.00°, rel. 36, hkl 1 3 0

=====

Entry 3:
Starting from a DFT-relaxed cell (PBE, Alexandria), the powder diffractogram of Dy3ScRu4 was simulated for Cu Ka.
Kinematic intensities with the Lorentz-polarization factor, no thermal factor.

Lattice parameters (Å, degrees): 3.363 4.737 9.468 90.00 90.00 90.00
Space group Pmmm (No. 47)
Inequivalent atoms, fractional coordinates:
Dy1 0.000 0.000 0.000 (multiplicity 1)
Dy2 0.000 0.500 0.256 (multiplicity 2)
Sc1 0.000 0.000 0.500 (multiplicity 1)
Ru1 0.500 0.000 0.261 (multiplicity 2)
Ru2 0.500 0.500 0.000 (multiplicity 1)
Ru3 0.500 0.500 0.500 (multiplicity 1)

Top 8 peaks for 10 to 90 degrees two-theta, by intensity:
- 37.95°, rel. 100, hkl 0 2 0
- 68.60°, rel. 22, hkl 1 3 2
- 68.44°, rel. 11, hkl 2 2 0
- 54.84°, rel. 11, hkl 0 2 4
- 81.06°, rel. 7, hkl 2 2 4
- 54.58°, rel. 6, hkl 2 0 0
- 81.26°, rel. 3, hkl 0 4 0
- 34.07°, rel. 3, hkl 1 1 1

=====

Entry 4:
Starting from a DFT-relaxed cell (PBE, Alexandria), the powder diffractogram of Ni2SnH was simulated for Cu Ka.
Kinematic intensities with the Lorentz-polarization factor, no thermal factor.

Lattice parameters (Å, degrees): 4.4788 4.4788 9.0081 90.00 90.00 120.00
Space group R-3m (No. 166, hexagonal axes)
Inequivalent atoms, fractional coordinates:
Ni1 0.0000 0.0000 0.1718 (multiplicity 6)
Sn1 0.0000 0.0000 0.5000 (multiplicity 3)
H1 0.0000 0.0000 0.0000 (multiplicity 3)

Top 8 peaks for 10 to 90 degrees two-theta, by intensity:
- 40.27°, rel. 100, hkl 1 1 0
- 50.87°, rel. 98, hkl 1 1 3
- 29.75°, rel. 74, hkl 0 0 3
- 76.37°, rel. 29, hkl 1 1 6
- 80.96°, rel. 25, hkl 3 0 3
- 25.00°, rel. 17, hkl 1 0 1
- 73.21°, rel. 17, hkl 3 0 0
- 87.03°, rel. 11, hkl 2 2 0

=====

Entry 5:
Starting from a DFT-relaxed cell (PBE, Alexandria), the powder diffractogram of Pm5Tm3 was simulated for Cu Ka.
Kinematic intensities with the Lorentz-polarization factor, no thermal factor.

Lattice parameters (Å, degrees): 5.041 5.094 10.176 90.00 90.00 90.00
Space group Pmmm (No. 47)
Inequivalent atoms, fractional coordinates:
Pm1 0.000 0.000 0.000 (multiplicity 1)
Pm2 0.000 0.000 0.500 (multiplicity 1)
Pm3 0.000 0.500 0.248 (multiplicity 2)
Pm4 0.500 0.500 0.500 (multiplicity 1)
Tm1 0.500 0.000 0.247 (multiplicity 2)
Tm2 0.500 0.500 0.000 (multiplicity 1)

Top 8 peaks for 10 to 90 degrees two-theta, by intensity:
- 30.51°, rel. 100, hkl 1 1 2
- 35.26°, rel. 34, hkl 0 2 0
- 60.36°, rel. 29, hkl 1 3 2
- 50.99°, rel. 24, hkl 2 2 0
- 35.62°, rel. 17, hkl 2 0 0
- 60.84°, rel. 14, hkl 3 1 2
- 63.51°, rel. 12, hkl 2 2 4
- 50.72°, rel. 12, hkl 0 2 4

=====

Entry 6:
Starting from a DFT-relaxed cell (PBE, Alexandria), the powder diffractogram of NdB4Ru was simulated for Cu Ka.
Kinematic intensities with the Lorentz-polarization factor, no thermal factor.

Lattice parameters (Å, degrees): 6.062 11.732 3.641 90.00 90.00 90.00
Space group Pbam (No. 55)
Inequivalent atoms, fractional coordinates:
Nd1 0.127 0.150 0.000 (multiplicity 4)
B1 0.025 0.689 0.500 (multiplicity 4)
B2 0.110 0.545 0.500 (multiplicity 4)
B3 0.140 0.969 0.500 (multiplicity 4)
B4 0.217 0.816 0.500 (multiplicity 4)
Ru1 0.138 0.408 0.000 (multiplicity 4)

Top 8 peaks for 10 to 90 degrees two-theta, by intensity:
- 39.44°, rel. 100, hkl 0 4 1
- 30.47°, rel. 82, hkl 0 4 0
- 24.45°, rel. 76, hkl 0 0 1
- 45.32°, rel. 30, hkl 2 3 1
- 42.29°, rel. 25, hkl 1 4 1
- 59.79°, rel. 25, hkl 0 4 2
- 37.54°, rel. 21, hkl 2 3 0
- 36.85°, rel. 20, hkl 1 3 1

=====

- Which formula does entry 1 have?
  CsNpBr2Cl8